1.
The following is a theoretical PXRD pattern of Rb3Au7. It was derived from a cell relaxed with PBE, using Cu Kα, 1.54184 Å.
Intensities are scaled so that the largest is 100.

Most intense lines, 2θ from 15° to 90°, sorted by position:
2theta  d/Å  intensity
16.9  5.257  100
17.6  5.026  31
27.8  3.214  52
35.7  2.513  52
36.2  2.478  34
41.2  2.193  44
49.1  1.856  31
57.3  1.607  32

Cell and atoms:
a = 7.4546 Å, b = 7.4546 Å, c = 7.3476 Å
α = 90.00°, β = 90.00°, γ = 135.16°
Fractional positions:
Rb: 0.0000 0.0000 0.0000
Rb: 0.1605 0.8395 0.5000
Rb: 0.8395 0.1605 0.5000
Au: 0.0000 0.5000 0.0000
Au: 0.3928 0.6072 0.1951
Au: 0.3928 0.6072 0.8049
Au: 0.5000 0.0000 0.0000
Au: 0.5000 0.5000 0.5000
Au: 0.6072 0.3928 0.1951
Au: 0.6072 0.3928 0.8049


2.
The following is a theoretical PXRD pattern of Rb2CuAsF6. It was derived from a cell relaxed with PBE, using Cu Kα, 1.54184 Å.
Intensities are scaled so that the largest is 100.

Most intense lines, 2θ from 15° to 90°, sorted by position:
2theta  d/Å  intensity
29.1  3.074  100
35.8  2.510  10
41.6  2.173  45
51.5  1.775  40
60.2  1.537  27
68.2  1.375  18
75.8  1.255  9
83.1  1.162  21

Cell and atoms:
a = 6.1473 Å, b = 6.1473 Å, c = 6.1473 Å
α = 60.00°, β = 60.00°, γ = 60.00°
Fractional positions:
Rb: 0.2500 0.2500 0.2500
Rb: 0.7500 0.7500 0.7500
Cu: 0.0000 0.0000 0.0000
As: 0.5000 0.5000 0.5000
F: 0.2587 0.2587 0.7413
F: 0.2587 0.7413 0.2587
F: 0.2587 0.7413 0.7413
F: 0.7413 0.2587 0.2587
F: 0.7413 0.2587 0.7413
F: 0.7413 0.7413 0.2587


3.
The following is a theoretical PXRD pattern of IrN4Cl4. It was derived from a cell relaxed with PBE, using Cu Kα, 1.54184 Å.
Intensities are scaled so that the largest is 100.

Most intense lines, 2θ from 15° to 90°, sorted by position:
2theta  d/Å  intensity
15.8  5.593  89
16.2  5.473  69
16.9  5.258  100
20.9  4.251  67
24.9  3.582  48
25.4  3.510  71
25.7  3.462  43
26.9  3.314  46

Cell and atoms:
a = 5.6368 Å, b = 6.1416 Å, c = 7.4037 Å
α = 112.00°, β = 108.22°, γ = 92.78°
Fractional positions:
Ir: 0.0000 0.0000 0.0000
N: 0.1686 0.2270 0.5518
N: 0.2320 0.9299 0.1754
N: 0.8644 0.2348 0.1189
N: 0.9709 0.9023 0.7016
Cl: 0.1909 0.9321 0.6190
Cl: 0.3385 0.3366 0.0947
Cl: 0.6709 0.6824 0.8882
Cl: 0.9185 0.3089 0.5930


4.
The following is a theoretical PXRD pattern of ScGeRh. It was derived from a cell relaxed with PBE, using Cu Kα, 1.54184 Å.
Intensities are scaled so that the largest is 100.

Most intense lines, 2θ from 15° to 90°, sorted by position:
2theta  d/Å  intensity
18.0  4.923  61
34.9  2.574  31
35.1  2.560  66
36.9  2.433  93
42.3  2.138  100
43.2  2.094  52
43.4  2.084  68
62.9  1.477  33

Cell and atoms:
a = 6.5453 Å, b = 4.1671 Å, c = 7.4719 Å
α = 90.00°, β = 90.00°, γ = 90.00°
Fractional positions:
Sc: 0.0114 0.2500 0.1963
Sc: 0.4886 0.7500 0.6963
Sc: 0.5114 0.2500 0.3037
Sc: 0.9886 0.7500 0.8037
Ge: 0.2234 0.7500 0.3871
Ge: 0.2766 0.2500 0.8871
Ge: 0.7234 0.7500 0.1129
Ge: 0.7766 0.2500 0.6129
Rh: 0.1574 0.2500 0.5625
Rh: 0.3426 0.7500 0.0625
Rh: 0.6574 0.2500 0.9375
Rh: 0.8426 0.7500 0.4375


5.
The following is a theoretical PXRD pattern of BaUTe6. It was derived from a cell relaxed with PBE, using Cu Kα, 1.54184 Å.
Intensities are scaled so that the largest is 100.

Most intense lines, 2θ from 15° to 90°, sorted by position:
2theta  d/Å  intensity
25.6  3.475  32
29.6  3.023  46
29.7  3.006  40
29.9  2.984  100
33.8  2.651  30
34.7  2.588  63
35.2  2.547  39
37.6  2.391  38

Cell and atoms:
a = 9.0194 Å, b = 15.2814 Å, c = 8.1633 Å
α = 90.00°, β = 91.52°, γ = 90.00°
Fractional positions:
Ba: 0.2365 0.0905 0.2698
Ba: 0.2365 0.4095 0.7698
Ba: 0.7635 0.5905 0.2302
Ba: 0.7635 0.9095 0.7302
U: 0.2739 0.7494 0.6082
U: 0.2739 0.7506 0.1082
U: 0.7261 0.2494 0.8918
U: 0.7261 0.2506 0.3918
Te: 0.0055 0.7361 0.8519
Te: 0.0055 0.7639 0.3519
Te: 0.0299 0.6011 0.6087
Te: 0.0299 0.8989 0.1087
Te: 0.1734 0.5531 0.1122
Te: 0.1734 0.9469 0.6122
Te: 0.3894 0.6064 0.3632
Te: 0.3894 0.8936 0.8632
Te: 0.3905 0.1945 0.8787
Te: 0.3905 0.3055 0.3787
Te: 0.4210 0.6166 0.8679
Te: 0.4210 0.8834 0.3679
Te: 0.5790 0.1166 0.6321
Te: 0.5790 0.3834 0.1321
Te: 0.6095 0.6945 0.6213
Te: 0.6095 0.8055 0.1213
Te: 0.6106 0.1064 0.1368
Te: 0.6106 0.3936 0.6368
Te: 0.8266 0.0531 0.3878
Te: 0.8266 0.4469 0.8878
Te: 0.9701 0.1011 0.8913
Te: 0.9701 0.3989 0.3913
Te: 0.9945 0.2361 0.6481
Te: 0.9945 0.2639 0.1481


6.
The following is a theoretical PXRD pattern of CsCrC6. It was derived from a cell relaxed with PBE, using Cu Kα, 1.54184 Å.
Intensities are scaled so that the largest is 100.

Most intense lines, 2θ from 15° to 90°, sorted by position:
2theta  d/Å  intensity
24.3  3.658  100
29.9  2.987  20
34.7  2.587  34
42.8  2.112  35
49.9  1.829  18
56.2  1.636  25
67.8  1.383  23
78.4  1.219  10

Cell and atoms:
a = 5.1739 Å, b = 5.1739 Å, c = 5.1739 Å
α = 90.00°, β = 90.00°, γ = 90.00°
Fractional positions:
Cs: 0.0000 0.0000 0.0000
Cr: 0.5000 0.5000 0.5000
C: 0.1225 0.5000 0.5000
C: 0.5000 0.1225 0.5000
C: 0.5000 0.5000 0.1225
C: 0.5000 0.5000 0.8775
C: 0.5000 0.8775 0.5000
C: 0.8775 0.5000 0.5000


7.
The following is a theoretical PXRD pattern of Mg8Al4Cu2Si7. It was derived from a cell relaxed with PBE, using Cu Kα, 1.54184 Å.
Intensities are scaled so that the largest is 100.

Most intense lines, 2θ from 15° to 90°, sorted by position:
2theta  d/Å  intensity
16.9  5.250  33
24.4  3.644  38
34.4  2.606  51
34.6  2.592  100
42.4  2.131  21
45.6  1.990  42
45.7  1.984  40
46.2  1.966  21

Cell and atoms:
a = 10.4137 Å, b = 3.9797 Å, c = 10.4686 Å
α = 90.00°, β = 119.47°, γ = 90.00°
Fractional positions:
Mg: 0.0000 0.0000 0.0000
Mg: 0.0456 0.5000 0.7990
Mg: 0.2505 0.5000 0.2017
Mg: 0.3908 0.5000 0.6209
Mg: 0.4519 0.5000 0.9947
Mg: 0.5032 0.0000 0.2498
Mg: 0.6300 0.5000 0.5179
Mg: 0.7261 0.5000 0.8580
Al: 0.0990 0.0000 0.3422
Al: 0.2516 0.0000 0.7529
Al: 0.7452 0.0000 0.1352
Al: 0.8804 0.0000 0.4874
Cu: 0.5818 0.0000 0.6631
Cu: 0.9360 0.5000 0.3533
Si: 0.1247 0.5000 0.5926
Si: 0.2542 0.0000 0.9960
Si: 0.3746 0.0000 0.4202
Si: 0.5328 0.0000 0.8618
Si: 0.6869 0.5000 0.2873
Si: 0.8268 0.0000 0.7043
Si: 0.9539 0.5000 0.1399


8.
The following is a theoretical PXRD pattern of Ca3Zr2O7. It was derived from a cell relaxed with PBE, using Cu Kα, 1.54184 Å.
Intensities are scaled so that the largest is 100.

Most intense lines, 2θ from 15° to 90°, sorted by position:
2theta  d/Å  intensity
17.7  5.013  20
22.1  4.027  32
30.8  2.907  53
31.2  2.870  100
44.1  2.055  36
54.9  1.673  19
55.0  1.670  27
55.7  1.651  26

Cell and atoms:
a = 10.4368 Å, b = 10.4368 Å, c = 5.8214 Å
α = 90.00°, β = 90.00°, γ = 32.30°
Fractional positions:
Ca: 0.0527 0.5619 0.7500
Ca: 0.2226 0.7774 0.7500
Ca: 0.4381 0.9473 0.7500
Ca: 0.5619 0.0527 0.2500
Ca: 0.7774 0.2226 0.2500
Ca: 0.9473 0.4381 0.2500
Zr: 0.1526 0.6442 0.2500
Zr: 0.3558 0.8474 0.2500
Zr: 0.6442 0.1526 0.7500
Zr: 0.8474 0.3558 0.7500
O: 0.0567 0.3454 0.7500
O: 0.0759 0.0759 0.0000
O: 0.0759 0.0759 0.5000
O: 0.3454 0.0567 0.2500
O: 0.3719 0.3719 0.0000
O: 0.3719 0.3719 0.5000
O: 0.3716 0.6284 0.2500
O: 0.6284 0.3716 0.7500
O: 0.6281 0.6281 0.0000
O: 0.6281 0.6281 0.5000
O: 0.6546 0.9433 0.7500
O: 0.9241 0.9241 0.0000
O: 0.9241 0.9241 0.5000
O: 0.9433 0.6546 0.2500